No. 1
Computed X-ray diffraction stick pattern
Compound: Mg16Al12S
Radiation: Cu Kα (weighted mean of Kα1 and Kα2)
Structure: a GGA-PBE-relaxed structure
Intensities are scaled so that the largest is 100.

Cell and atoms:
Unit cell a=9.054 b=9.054 c=9.054 alpha=108.90 beta=108.90 gamma=108.90
Sites, in units of the cell vectors:
Mg 0.000 0.000 0.000
Mg 0.256 0.537 0.537
Mg 0.269 0.269 0.671
Mg 0.269 0.671 0.269
Mg 0.364 0.635 0.959
Mg 0.364 0.959 0.635
Mg 0.537 0.256 0.537
Mg 0.537 0.537 0.256
Mg 0.615 0.959 0.959
Mg 0.635 0.364 0.959
Mg 0.635 0.959 0.364
Mg 0.671 0.269 0.269
Mg 0.959 0.364 0.635
Mg 0.959 0.615 0.959
Mg 0.959 0.635 0.364
Mg 0.959 0.959 0.615
Al 0.134 0.323 0.946
Al 0.134 0.946 0.323
Al 0.154 0.767 0.767
Al 0.323 0.134 0.946
Al 0.323 0.946 0.134
Al 0.610 0.610 0.800
Al 0.610 0.800 0.610
Al 0.767 0.154 0.767
Al 0.767 0.767 0.154
Al 0.800 0.610 0.610
Al 0.946 0.134 0.323
Al 0.946 0.323 0.134
S 0.339 0.339 0.339

Largest 10 diffraction maxima, sorted by position, 2θ from 5° to 70°:
d/Å, Rel. int.
2.631, 26
2.506, 90
2.478, 100
2.459, 98
2.288, 22
2.237, 42
2.225, 32
2.045, 24
1.473, 16
1.435, 22


No. 2
Computed X-ray diffraction stick pattern
Compound: Mg2TiAl3S8
Radiation: Cu Kα (weighted mean of Kα1 and Kα2)
Structure: a GGA-PBE-relaxed structure
Intensities are scaled so that the largest is 100.

Cell and atoms:
Unit cell a=7.288 b=7.288 c=7.288 alpha=59.94 beta=59.94 gamma=59.94
Sites, in units of the cell vectors:
Mg 0.125 0.125 0.125
Mg 0.875 0.875 0.875
Ti 0.500 0.500 0.500
Al 0.000 0.500 0.500
Al 0.500 0.000 0.500
Al 0.500 0.500 0.000
S 0.259 0.259 0.716
S 0.259 0.716 0.259
S 0.262 0.262 0.262
S 0.284 0.741 0.741
S 0.716 0.259 0.259
S 0.738 0.738 0.738
S 0.741 0.284 0.741
S 0.741 0.741 0.284

Largest 10 diffraction maxima, sorted by position, 2θ from 5° to 70°:
d/Å, Rel. int.
5.947, 38
3.641, 17
3.107, 51
2.974, 30
2.576, 94
1.983, 42
1.821, 100
1.571, 7
1.487, 17
1.443, 8


No. 3
Computed X-ray diffraction stick pattern
Compound: MgTiAlS4
Radiation: Cu Kα (weighted mean of Kα1 and Kα2)
Structure: a GGA-PBE-relaxed structure
Intensities are scaled so that the largest is 100.

Cell and atoms:
Unit cell a=7.313 b=7.313 c=7.313 alpha=120.86 beta=119.64 gamma=89.57
Sites, in units of the cell vectors:
Mg 0.375 0.125 0.250
Mg 0.625 0.875 0.750
Ti 0.000 0.000 0.500
Ti 0.000 0.500 0.000
Al 0.000 0.500 0.500
Al 0.500 0.500 0.000
S 0.219 0.736 0.483
S 0.240 0.265 0.525
S 0.240 0.714 0.975
S 0.248 0.264 0.983
S 0.752 0.736 0.017
S 0.760 0.286 0.025
S 0.760 0.735 0.475
S 0.781 0.264 0.517

Largest 10 diffraction maxima, sorted by position, 2θ from 5° to 70°:
d/Å, Rel. int.
6.000, 49
5.926, 20
3.126, 45
3.093, 42
2.595, 49
2.575, 97
1.990, 22
1.838, 27
1.828, 100
1.804, 24


No. 4
Computed X-ray diffraction stick pattern
Compound: Mg2Al3VS8
Radiation: Cu Kα (weighted mean of Kα1 and Kα2)
Structure: a GGA-PBE-relaxed structure
Intensities are scaled so that the largest is 100.

Cell and atoms:
Unit cell a=7.239 b=7.239 c=7.248 alpha=60.10 beta=60.37 gamma=60.04
Sites, in units of the cell vectors:
Mg 0.125 0.125 0.125
Mg 0.875 0.875 0.875
Al 0.000 0.500 0.500
Al 0.500 0.000 0.500
Al 0.500 0.500 0.500
V 0.500 0.500 0.000
S 0.261 0.261 0.265
S 0.261 0.714 0.263
S 0.262 0.262 0.714
S 0.286 0.739 0.737
S 0.714 0.261 0.263
S 0.738 0.738 0.286
S 0.739 0.286 0.737
S 0.739 0.739 0.735

Largest 10 diffraction maxima, sorted by position, 2θ from 5° to 70°:
d/Å, Rel. int.
5.916, 67
3.620, 24
3.100, 33
3.088, 49
2.567, 100
2.557, 49
1.974, 26
1.821, 27
1.812, 78
1.810, 52


No. 5
Computed X-ray diffraction stick pattern
Compound: Mg2AlW3S8
Radiation: Cu Kα (weighted mean of Kα1 and Kα2)
Structure: a GGA-PBE-relaxed structure
Intensities are scaled so that the largest is 100.

Cell and atoms:
Unit cell a=6.949 b=7.029 c=7.438 alpha=90.26 beta=117.84 gamma=119.56
Sites, in units of the cell vectors:
Mg 0.000 0.000 0.000
Mg 0.498 0.749 0.247
Al 0.686 0.345 0.029
W 0.186 0.393 0.583
W 0.200 0.813 0.587
W 0.789 0.393 0.584
S 0.166 0.585 0.319
S 0.221 0.117 0.803
S 0.240 0.627 0.855
S 0.267 0.137 0.398
S 0.694 0.586 0.803
S 0.698 0.116 0.803
S 0.728 0.147 0.310
S 0.738 0.585 0.321

Largest 10 diffraction maxima, sorted by position, 2θ from 5° to 70°:
d/Å, Rel. int.
6.263, 100
5.822, 19
5.748, 43
5.101, 20
3.194, 17
3.015, 16
2.984, 30
2.557, 23
2.543, 42
1.852, 18


No. 6
Computed X-ray diffraction stick pattern
Compound: MgAlWS4
Radiation: Cu Kα (weighted mean of Kα1 and Kα2)
Structure: a GGA-PBE-relaxed structure
Intensities are scaled so that the largest is 100.

Cell and atoms:
Unit cell a=7.332 b=7.332 c=6.853 alpha=117.86 beta=117.86 gamma=60.12
Sites, in units of the cell vectors:
Mg 0.000 0.000 0.000
Mg 0.245 0.245 0.746
Al 0.089 0.608 0.349
Al 0.608 0.089 0.349
W 0.611 0.611 0.412
W 0.611 0.611 0.810
S 0.318 0.846 0.582
S 0.381 0.381 0.158
S 0.381 0.381 0.604
S 0.405 0.846 0.126
S 0.839 0.839 0.094
S 0.839 0.839 0.585
S 0.846 0.318 0.582
S 0.846 0.405 0.126

Largest 10 diffraction maxima, sorted by position, 2θ from 5° to 70°:
d/Å, Rel. int.
6.052, 100
5.341, 29
3.673, 17
3.204, 22
2.982, 34
2.671, 20
2.505, 28
2.052, 12
2.019, 14
1.827, 26


No. 7
Computed X-ray diffraction stick pattern
Compound: Mg14AlSb
Radiation: Cu Kα (weighted mean of Kα1 and Kα2)
Structure: a GGA-PBE-relaxed structure
Intensities are scaled so that the largest is 100.

Cell and atoms:
Unit cell a=6.361 b=6.361 c=10.292 alpha=90.00 beta=90.00 gamma=120.00
Sites, in units of the cell vectors:
Mg 0.000 0.000 0.250
Mg 0.000 0.000 0.750
Mg 0.333 0.166 0.000
Mg 0.334 0.167 0.500
Mg 0.501 0.001 0.253
Mg 0.501 0.001 0.747
Mg 0.501 0.499 0.253
Mg 0.501 0.499 0.747
Mg 0.833 0.167 0.500
Mg 0.833 0.666 0.500
Mg 0.834 0.166 0.000
Mg 0.834 0.667 0.000
Mg 0.999 0.499 0.253
Mg 0.999 0.499 0.747
Al 0.333 0.667 0.500
Sb 0.333 0.667 0.000

Largest 10 diffraction maxima, sorted by position, 2θ from 5° to 70°:
d/Å, Rel. int.
10.292, 21
5.509, 19
4.857, 26
2.755, 26
2.573, 26
2.428, 100
1.880, 17
1.590, 17
1.456, 19
1.353, 19


No. 8
Computed X-ray diffraction stick pattern
Compound: Mg16Al12Sb
Radiation: Cu Kα (weighted mean of Kα1 and Kα2)
Structure: a GGA-PBE-relaxed structure
Intensities are scaled so that the largest is 100.

Cell and atoms:
Unit cell a=9.112 b=9.112 c=9.112 alpha=109.13 beta=109.13 gamma=109.13
Sites, in units of the cell vectors:
Mg 0.000 0.000 0.000
Mg 0.000 0.404 0.683
Mg 0.000 0.683 0.404
Mg 0.003 0.003 0.656
Mg 0.003 0.656 0.003
Mg 0.293 0.602 0.602
Mg 0.318 0.318 0.715
Mg 0.318 0.715 0.318
Mg 0.404 0.000 0.683
Mg 0.404 0.683 0.000
Mg 0.602 0.293 0.602
Mg 0.602 0.602 0.293
Mg 0.656 0.003 0.003
Mg 0.683 0.000 0.404
Mg 0.683 0.404 0.000
Mg 0.715 0.318 0.318
Al 0.183 0.370 0.994
Al 0.183 0.994 0.370
Al 0.187 0.818 0.818
Al 0.370 0.183 0.994
Al 0.370 0.994 0.183
Al 0.641 0.641 0.828
Al 0.641 0.828 0.641
Al 0.818 0.187 0.818
Al 0.818 0.818 0.187
Al 0.828 0.641 0.641
Al 0.994 0.183 0.370
Al 0.994 0.370 0.183
Sb 0.333 0.333 0.333

Largest 10 diffraction maxima, sorted by position, 2θ from 5° to 70°:
d/Å, Rel. int.
7.517, 31
7.425, 45
4.298, 27
2.808, 21
2.641, 26
2.506, 100
2.488, 84
2.477, 96
2.241, 49
1.435, 20


No. 9
Computed X-ray diffraction stick pattern
Compound: MgAl2Sb2
Radiation: Cu Kα (weighted mean of Kα1 and Kα2)
Structure: a GGA-PBE-relaxed structure
Intensities are scaled so that the largest is 100.

Cell and atoms:
Unit cell a=4.604 b=4.604 c=7.086 alpha=90.00 beta=90.00 gamma=120.00
Sites, in units of the cell vectors:
Mg 0.000 0.000 0.000
Al 0.333 0.667 0.629
Al 0.667 0.333 0.371
Sb 0.333 0.667 0.230
Sb 0.667 0.333 0.770

Largest 10 diffraction maxima, sorted by position, 2θ from 5° to 70°:
d/Å, Rel. int.
3.987, 34
3.543, 25
3.475, 100
2.648, 48
2.302, 54
2.032, 38
1.930, 28
1.919, 19
1.523, 15
1.474, 16


No. 10
Computed X-ray diffraction stick pattern
Compound: Mg14AlSb
Radiation: Cu Kα (weighted mean of Kα1 and Kα2)
Structure: a GGA-PBE-relaxed structure
Intensities are scaled so that the largest is 100.

Cell and atoms:
Unit cell a=10.293 b=6.342 c=6.342 alpha=61.09 beta=90.00 gamma=90.00
Sites, in units of the cell vectors:
Mg 0.000 0.000 0.000
Mg 0.000 0.001 0.500
Mg 0.000 0.500 0.001
Mg 0.000 0.500 0.500
Mg 0.248 0.168 0.168
Mg 0.251 0.171 0.664
Mg 0.251 0.664 0.171
Mg 0.252 0.666 0.666
Mg 0.500 0.501 0.999
Mg 0.500 0.999 0.501
Mg 0.748 0.666 0.666
Mg 0.749 0.171 0.664
Mg 0.749 0.664 0.171
Mg 0.752 0.168 0.168
Al 0.500 0.502 0.502
Sb 0.500 0.001 0.001

Largest 10 diffraction maxima, sorted by position, 2θ from 5° to 70°:
d/Å, Rel. int.
10.293, 36
4.886, 26
2.776, 27
2.573, 38
2.443, 100
2.412, 49
1.887, 17
1.585, 17
1.459, 20
1.350, 19


No. 11
Computed X-ray diffraction stick pattern
Compound: Mg16ScAl12
Radiation: Cu Kα (weighted mean of Kα1 and Kα2)
Structure: a GGA-PBE-relaxed structure
Intensities are scaled so that the largest is 100.

Cell and atoms:
Unit cell a=9.169 b=9.169 c=9.169 alpha=109.99 beta=109.99 gamma=109.99
Sites, in units of the cell vectors:
Mg 0.000 0.000 0.000
Mg 0.001 0.314 0.607
Mg 0.001 0.607 0.314
Mg 0.006 0.006 0.346
Mg 0.006 0.346 0.006
Mg 0.284 0.687 0.687
Mg 0.314 0.001 0.607
Mg 0.314 0.607 0.001
Mg 0.346 0.006 0.006
Mg 0.397 0.397 0.722
Mg 0.397 0.722 0.397
Mg 0.607 0.001 0.314
Mg 0.607 0.314 0.001
Mg 0.687 0.284 0.687
Mg 0.687 0.687 0.284
Mg 0.722 0.397 0.397
Sc 0.631 0.631 0.631
Al 0.192 0.192 0.827
Al 0.192 0.827 0.192
Al 0.193 0.375 0.375
Al 0.375 0.193 0.375
Al 0.375 0.375 0.193
Al 0.637 0.815 0.997
Al 0.637 0.997 0.815
Al 0.815 0.637 0.997
Al 0.815 0.997 0.637
Al 0.827 0.192 0.192
Al 0.997 0.637 0.815
Al 0.997 0.815 0.637

Largest 10 diffraction maxima, sorted by position, 2θ from 5° to 70°:
d/Å, Rel. int.
2.629, 17
2.501, 92
2.481, 100
2.454, 99
2.260, 46
2.201, 20
2.154, 18
2.082, 17
1.436, 24
1.419, 15